[1]
For Cr3P3O13, a crystal structure in Alexandria, relaxed with GGA+U gives the calculated powder XRD pattern in this record (Cu Kα, 1.54184 Å).
Lines closer than 0.1° are merged.

Cell and atoms:
a b c (Å): 7.4397 6.2556 10.6073
angles (deg): 90.00 100.19 90.00
Space group P2_1/m (No. 11)
One atom of each set of equivalent atoms:
Cr (0.0000, 0.0000, 0.0000)
Cr (0.2306, 0.2500, 0.5490)
Cr (0.3745, 0.7500, 0.1924)
P (0.2140, 0.7500, 0.4722)
P (0.2662, 0.2500, 0.2296)
P (0.2948, 0.2500, 0.8733)
O (0.0090, 0.7500, 0.4128)
O (0.0920, 0.2500, 0.1188)
O (0.1340, 0.7500, 0.0867)
O (0.1945, 0.0464, 0.8994)
O (0.2053, 0.2500, 0.3594)
O (0.2709, 0.5527, 0.5567)
O (0.3275, 0.7500, 0.3644)
O (0.3438, 0.2500, 0.7348)
O (0.3801, 0.0535, 0.2071)
O (0.4994, 0.2500, 0.9480)

Most intense lines, 2θ = 15–90°, most intense first:
index	2θ/deg	I (rel.)
1 0 -2	19.05	100
0 1 1	16.52	89
2 0 1	27.20	73
2 0 0	24.31	63
1 2 1	32.87	60
0 2 0	28.54	56
1 0 3	30.32	54
2 0 -3	32.20	53
1 1 0	18.66	40
1 0 2	22.60	38

=====

[2]
For CrP2O7, a crystal structure in Alexandria, relaxed with GGA+U gives the calculated powder XRD pattern in this record (Cu Kα, 1.54184 Å).
Lines closer than 0.1° are merged.

Cell and atoms:
a b c (Å): 6.6249 7.8575 4.5483
angles (deg): 90.00 102.80 90.00
Space group C2 (No. 5)
One atom of each set of equivalent atoms:
Cr (0.0000, 0.0000, 0.0000)
P (0.2001, 0.3540, 0.4094)
O (0.0000, 0.4364, 0.5000)
O (0.1333, 0.8351, 0.2971)
O (0.1436, 0.1807, 0.2677)
O (0.2392, 0.9848, 0.8060)

Most intense lines, 2θ = 15–90°, most intense first:
index	2θ/deg	I (rel.)
2 0 -1	30.40	100
1 1 1	29.14	69
1 1 0	17.77	54
0 2 0	22.63	47
1 3 1	44.00	34
1 1 -1	24.46	22
2 2 -2	50.14	14
0 4 1	50.84	13
2 2 0	35.99	13
1 3 2	58.68	12

=====

[3]
For CrPO4, a crystal structure in Alexandria, relaxed with GGA+U gives the calculated powder XRD pattern in this record (Cu Kα, 1.54184 Å).
Lines closer than 0.1° are merged.

Cell and atoms:
a b c (Å): 5.5641 6.4617 9.2763
angles (deg): 72.62 80.74 77.24
Space group P-1 (No. 2)
One atom of each set of equivalent atoms:
Cr (0.1975, 0.0874, 0.1962)
Cr (0.2936, 0.1641, 0.5673)
P (0.1583, 0.7126, 0.5294)
P (0.3406, 0.8492, 0.9059)
O (0.0718, 0.8154, 0.3633)
O (0.0998, 0.2402, 0.3771)
O (0.1436, 0.7656, 0.8517)
O (0.2393, 0.9262, 0.0464)
O (0.2697, 0.4720, 0.5657)
O (0.3531, 0.8470, 0.5442)
O (0.4026, 0.3056, 0.0789)
O (0.4315, 0.0488, 0.7652)

Most intense lines, 2θ = 15–90°, most intense first:
index	2θ/deg	I (rel.)
0 1 2	21.46	100
1 0 2	24.79	68
2 0 0	33.20	67
0 2 2	30.91	65
1 2 -1	35.75	56
0 1 -1	19.92	52
2 1 1	33.05	45
0 0 2	20.16	43
0 0 3	30.45	28
1 0 -3	36.30	26

=====

[4]
For CrP4O12, a crystal structure in Alexandria, relaxed with GGA+U gives the calculated powder XRD pattern in this record (Cu Kα, 1.54184 Å).
Lines closer than 0.1° are merged.

Cell and atoms:
a b c (Å): 16.7821 12.4630 5.0879
angles (deg): 90.00 97.02 90.00
Space group C2/m (No. 12)
One atom of each set of equivalent atoms:
Cr (0.2500, 0.2500, 0.0000)
P (0.0739, 0.2154, 0.1966)
P (0.1778, 0.3790, 0.4744)
O (0.0000, 0.2630, 0.0000)
O (0.0509, 0.1242, 0.3676)
O (0.0935, 0.3230, 0.3691)
O (0.1419, 0.1882, 0.0404)
O (0.1511, 0.5000, 0.4101)
O (0.1949, 0.3661, 0.7696)
O (0.2426, 0.3454, 0.3116)

Most intense lines, 2θ = 15–90°, most intense first:
index	2θ/deg	I (rel.)
3 1 0	17.49	100
4 0 -1	26.01	96
0 2 1	22.66	79
0 4 1	33.80	56
3 1 1	26.26	45
2 0 -1	19.41	36
2 0 1	21.67	34
4 2 -1	29.77	32
3 3 1	33.32	29
6 2 0	35.40	27

=====

[5]
For CrPO5, a crystal structure in Alexandria, relaxed with GGA+U gives the calculated powder XRD pattern in this record (Cu Kα, 1.54184 Å).
Lines closer than 0.1° are merged.

Cell and atoms:
a b c (Å): 11.9827 15.9328 6.9131
angles (deg): 90.00 90.00 90.00
Space group Fdd2 (No. 43)
One atom of each set of equivalent atoms:
Cr (0.1089, 0.1176, 0.0000)
P (0.0000, 0.2161, 0.3921)
O (0.0023, 0.0779, 0.8873)
O (0.0192, 0.1586, 0.2167)
O (0.0215, 0.3392, 0.0723)
O (0.1040, 0.2247, 0.8728)
O (0.1054, 0.2736, 0.4128)

Most intense lines, 2θ = 15–90°, most intense first:
index	2θ/deg	I (rel.)
1 1 1	15.81	100
3 3 1	30.85	67
2 2 0	18.53	62
1 5 1	31.81	44
2 2 2	31.93	39
3 1 1	26.37	28
5 3 1	43.45	22
0 2 2	28.14	21
6 2 2	54.26	20
2 6 2	45.67	19

=====

[6]
For CrP2O7, a crystal structure in Alexandria, relaxed with GGA+U gives the calculated powder XRD pattern in this record (Cu Kα, 1.54184 Å).
Lines closer than 0.1° are merged.

Cell and atoms:
a b c (Å): 6.8487 8.0854 9.3528
angles (deg): 90.00 108.34 90.00
Space group P2_1/c (No. 14)
One atom of each set of equivalent atoms:
Cr (0.2215, 0.2282, 0.0053)
P (0.0310, 0.5864, 0.2939)
P (0.4310, 0.0292, 0.7930)
O (0.0165, 0.2247, 0.1086)
O (0.0246, 0.0842, 0.8608)
O (0.1072, 0.0937, 0.3717)
O (0.2633, 0.6139, 0.2916)
O (0.3618, 0.0572, 0.1583)
O (0.3858, 0.1007, 0.6353)
O (0.4150, 0.1633, 0.9080)

Most intense lines, 2θ = 15–90°, most intense first:
index	2θ/deg	I (rel.)
1 1 0	17.50	100
0 2 2	29.88	90
2 0 -2	28.48	32
1 1 -2	23.18	27
1 2 1	29.41	17
2 2 0	35.44	15
3 1 -2	41.74	13
1 1 -1	17.90	13
0 1 3	32.21	12
1 3 2	43.78	12

=====

[7]
For PmCr2PO8, a crystal structure in Alexandria, relaxed with GGA+U gives the calculated powder XRD pattern in this record (Cu Kα, 1.54184 Å).
Lines closer than 0.1° are merged.

Cell and atoms:
a b c (Å): 7.2759 5.8223 6.5862
angles (deg): 90.00 99.81 90.00
Space group C2/m (No. 12)
One atom of each set of equivalent atoms:
Pm (0.0000, 0.0000, 0.0000)
Cr (0.0731, 0.5000, 0.2484)
P (0.0000, 0.0000, 0.5000)
O (0.0094, 0.2100, 0.6977)
O (0.1705, 0.5000, 0.0143)
O (0.2281, 0.0000, 0.5340)

Most intense lines, 2θ = 15–90°, most intense first:
index	2θ/deg	I (rel.)
2 0 0	24.84	100
1 1 -2	32.18	99
0 2 0	30.71	73
2 2 -1	40.84	72
1 1 2	35.76	65
1 1 1	25.19	59
2 0 -1	26.27	44
1 1 0	19.64	37
3 1 1	45.38	37
0 2 2	41.71	33

=====

Repeat the sixth record exactly.
For CrP2O7, a crystal structure in Alexandria, relaxed with GGA+U gives the calculated powder XRD pattern in this record (Cu Kα, 1.54184 Å).
Lines closer than 0.1° are merged.

Cell and atoms:
a b c (Å): 6.8487 8.0854 9.3528
angles (deg): 90.00 108.34 90.00
Space group P2_1/c (No. 14)
One atom of each set of equivalent atoms:
Cr (0.2215, 0.2282, 0.0053)
P (0.0310, 0.5864, 0.2939)
P (0.4310, 0.0292, 0.7930)
O (0.0165, 0.2247, 0.1086)
O (0.0246, 0.0842, 0.8608)
O (0.1072, 0.0937, 0.3717)
O (0.2633, 0.6139, 0.2916)
O (0.3618, 0.0572, 0.1583)
O (0.3858, 0.1007, 0.6353)
O (0.4150, 0.1633, 0.9080)

Most intense lines, 2θ = 15–90°, most intense first:
index	2θ/deg	I (rel.)
1 1 0	17.50	100
0 2 2	29.88	90
2 0 -2	28.48	32
1 1 -2	23.18	27
1 2 1	29.41	17
2 2 0	35.44	15
3 1 -2	41.74	13
1 1 -1	17.90	13
0 1 3	32.21	12
1 3 2	43.78	12